Diffraction record for Tl2AgBiH. The powder diffraction line list is calculated, not measured: it uses a cell relaxed with PBE and Cu Kα X-rays.
Kinematic intensities with the Lorentz-polarization factor, no thermal factor.

a b c (Å): 5.9557 5.9557 3.5353
angles (deg): 90.00 90.00 90.00
Space group P4/mmm (No. 123)
One atom of each set of equivalent atoms:
Tl 0.0000 0.5000 0.0000 x2
Ag 0.0000 0.0000 0.0000 x1
Bi 0.5000 0.5000 0.5000 x1
H 0.0000 0.0000 0.5000 x1

Most intense lines, 10 to 80 degrees two-theta, in order of rising 2θ:
| Position (°2θ) | d/Å | I (rel.) |
| --- | --- | --- |
| 29.38 | 3.040 | 41 |
| 30.01 | 2.978 | 100 |
| 33.08 | 2.708 | 73 |
| 39.57 | 2.278 | 17 |
| 42.49 | 2.127 | 31 |
| 42.95 | 2.106 | 38 |
| 55.26 | 1.662 | 36 |
| 60.95 | 1.520 | 27 |
| 69.42 | 1.354 | 19 |
| 70.74 | 1.332 | 18 |

---

Diffraction record for Hf3AgBi. The powder diffraction line list is calculated, not measured: it uses a cell relaxed with PBE and Cu Kα X-rays.
Kinematic intensities with the Lorentz-polarization factor, no thermal factor.

a b c (Å): 5.1198 5.1198 5.1198
angles (deg): 90.00 90.00 90.00
Space group Pm-3m (No. 221)
One atom of each set of equivalent atoms:
Hf 0.0000 0.0000 0.5000 x3
Ag 0.0000 0.0000 0.0000 x1
Bi 0.5000 0.5000 0.5000 x1

Most intense lines, 10 to 80 degrees two-theta, in order of rising 2θ:
| Position (°2θ) | d/Å | I (rel.) |
| --- | --- | --- |
| 17.32 | 5.120 | 6 |
| 24.59 | 3.620 | 14 |
| 30.24 | 2.956 | 100 |
| 35.05 | 2.560 | 95 |
| 43.29 | 2.090 | 6 |
| 50.41 | 1.810 | 68 |
| 59.92 | 1.544 | 45 |
| 62.88 | 1.478 | 23 |
| 68.58 | 1.368 | 3 |
| 74.07 | 1.280 | 11 |

---

Diffraction record for LiAgHgBi. The powder diffraction line list is calculated, not measured: it uses a cell relaxed with PBE and Cu Kα X-rays.
Kinematic intensities with the Lorentz-polarization factor, no thermal factor.

a b c (Å): 9.3762 4.6650 4.6701
angles (deg): 90.00 119.60 90.00
Space group Cm (No. 8)
One atom of each set of equivalent atoms:
Li 0.0000 0.0000 0.0000 x2
Ag 0.0001 0.5000 0.5021 x2
Hg 0.2501 0.0000 0.7514 x2
Bi 0.2500 0.5000 0.2507 x2

Most intense lines, 10 to 80 degrees two-theta, in order of rising 2θ:
| Position (°2θ) | d/Å | I (rel.) |
| --- | --- | --- |
| 21.81 | 4.074 | 54 |
| 27.02 | 3.300 | 58 |
| 34.92 | 2.569 | 100 |
| 35.04 | 2.561 | 99 |
| 38.58 | 2.334 | 76 |
| 44.45 | 2.038 | 26 |
| 44.79 | 2.023 | 32 |
| 55.70 | 1.650 | 26 |
| 60.31 | 1.535 | 21 |
| 67.54 | 1.387 | 45 |

---

Diffraction record for Sr2Ag3HgBi4. The powder diffraction line list is calculated, not measured: it uses a cell relaxed with PBE and Cu Kα X-rays.
Kinematic intensities with the Lorentz-polarization factor, no thermal factor.

a b c (Å): 4.9344 4.9344 12.3847
angles (deg): 90.00 90.00 90.00
Space group P-4m2 (No. 115)
One atom of each set of equivalent atoms:
Sr 0.0000 0.5000 0.2503 x2
Ag 0.0000 0.0000 0.0000 x1
Ag 0.0000 0.5000 0.6349 x2
Hg 0.5000 0.5000 0.0000 x1
Bi 0.0000 0.0000 0.5000 x1
Bi 0.0000 0.5000 0.8597 x2
Bi 0.5000 0.5000 0.5000 x1

Most intense lines, 10 to 80 degrees two-theta, in order of rising 2θ:
| Position (°2θ) | d/Å | I (rel.) |
| --- | --- | --- |
| 14.30 | 6.192 | 25 |
| 19.36 | 4.584 | 27 |
| 28.18 | 3.166 | 28 |
| 29.38 | 3.040 | 100 |
| 36.42 | 2.467 | 66 |
| 38.89 | 2.316 | 62 |
| 40.76 | 2.214 | 25 |
| 52.45 | 1.745 | 23 |
| 61.26 | 1.513 | 25 |
| 67.18 | 1.393 | 25 |

---

Diffraction record for Ag2BiI5. The powder diffraction line list is calculated, not measured: it uses a cell relaxed with PBE and Cu Kα X-rays.
Kinematic intensities with the Lorentz-polarization factor, no thermal factor.

a b c (Å): 14.0648 8.3552 7.6983
angles (deg): 90.00 115.93 90.00
Space group Cm (No. 8)
One atom of each set of equivalent atoms:
Ag 0.0000 0.0000 0.0000 x2
Ag 0.0859 0.5000 0.5710 x2
Bi 0.0130 0.0000 0.5587 x2
I 0.1299 0.2496 0.8676 x4
I 0.3178 0.5000 0.6197 x2
I 0.4838 0.2440 0.2507 x4

Most intense lines, 10 to 80 degrees two-theta, in order of rising 2θ:
| Position (°2θ) | d/Å | I (rel.) |
| --- | --- | --- |
| 12.71 | 6.965 | 82 |
| 14.00 | 6.324 | 100 |
| 14.25 | 6.215 | 30 |
| 15.72 | 5.639 | 21 |
| 24.89 | 3.577 | 44 |
| 25.34 | 3.515 | 44 |
| 31.39 | 2.850 | 32 |
| 31.74 | 2.819 | 55 |
| 33.63 | 2.665 | 63 |
| 36.02 | 2.493 | 28 |

---

Diffraction record for Rb2AgBiI6. The powder diffraction line list is calculated, not measured: it uses a cell relaxed with PBE and Cu Kα X-rays.
Kinematic intensities with the Lorentz-polarization factor, no thermal factor.

a b c (Å): 8.3817 8.6689 14.5626
angles (deg): 90.00 124.90 90.00
Space group P2_1/c (No. 14)
One atom of each set of equivalent atoms:
Rb 0.2244 0.0747 0.2480 x4
Ag 0.0000 0.0000 0.5000 x2
Bi 0.5000 0.0000 0.0000 x2
I 0.1555 0.2033 0.9570 x4
I 0.2606 0.7003 0.9608 x4
I 0.3303 0.0076 0.7456 x4

Most intense lines, 10 to 80 degrees two-theta, in order of rising 2θ:
| Position (°2θ) | d/Å | I (rel.) |
| --- | --- | --- |
| 14.70 | 6.026 | 77 |
| 14.83 | 5.972 | 37 |
| 24.75 | 3.597 | 81 |
| 25.39 | 3.508 | 31 |
| 29.65 | 3.013 | 100 |
| 29.92 | 2.986 | 64 |
| 32.78 | 2.732 | 50 |
| 33.31 | 2.690 | 29 |
| 36.93 | 2.434 | 30 |
| 37.06 | 2.426 | 30 |

---

Diffraction record for Rb3Ag2BiI9. The powder diffraction line list is calculated, not measured: it uses a cell relaxed with PBE and Cu Kα X-rays.
Kinematic intensities with the Lorentz-polarization factor, no thermal factor.

a b c (Å): 8.4678 8.4678 10.4920
angles (deg): 90.00 90.00 120.00
Space group P-3m1 (No. 164)
One atom of each set of equivalent atoms:
Rb 0.0000 0.0000 0.0000 x1
Rb 0.3333 0.6667 0.6933 x2
Ag 0.3333 0.6667 0.1528 x2
Bi 0.0000 0.0000 0.5000 x1
I 0.0000 0.5000 0.0000 x3
I 0.1700 0.3399 0.3279 x6

Most intense lines, 10 to 80 degrees two-theta, in order of rising 2θ:
| Position (°2θ) | d/Å | I (rel.) |
| --- | --- | --- |
| 14.74 | 6.011 | 51 |
| 25.74 | 3.461 | 42 |
| 29.73 | 3.005 | 100 |
| 33.23 | 2.696 | 14 |
| 33.44 | 2.680 | 15 |
| 42.37 | 2.133 | 36 |
| 42.71 | 2.117 | 37 |
| 52.90 | 1.731 | 19 |
| 69.75 | 1.348 | 15 |
| 70.25 | 1.340 | 16 |

---

Diffraction record for TlAgBiI5. The powder diffraction line list is calculated, not measured: it uses a cell relaxed with PBE and Cu Kα X-rays.
Kinematic intensities with the Lorentz-polarization factor, no thermal factor.

a b c (Å): 9.8967 13.9035 11.3551
angles (deg): 90.00 112.28 90.00
Space group C2/c (No. 15)
One atom of each set of equivalent atoms:
Tl 0.0000 0.1279 0.2500 x4
Ag 0.0000 0.1908 0.7500 x4
Bi 0.0000 0.5000 0.0000 x4
I 0.0000 0.4055 0.2500 x4
I 0.1278 0.3007 0.6108 x8
I 0.1803 0.0654 0.9494 x8

Most intense lines, 10 to 80 degrees two-theta, in order of rising 2θ:
| Position (°2θ) | d/Å | I (rel.) |
| --- | --- | --- |
| 17.19 | 5.159 | 60 |
| 19.39 | 4.579 | 34 |
| 21.20 | 4.191 | 30 |
| 24.42 | 3.645 | 100 |
| 27.92 | 3.196 | 20 |
| 28.43 | 3.140 | 26 |
| 30.85 | 2.899 | 23 |
| 32.93 | 2.720 | 27 |
| 35.21 | 2.549 | 30 |
| 41.34 | 2.184 | 26 |

---

Diffraction record for InAg2BiS4. The powder diffraction line list is calculated, not measured: it uses a cell relaxed with PBE and Cu Kα X-rays.
Kinematic intensities with the Lorentz-polarization factor, no thermal factor.

a b c (Å): 8.6756 7.2354 6.8416
angles (deg): 90.00 90.00 90.00
Space group Pmn2_1 (No. 31)
One atom of each set of equivalent atoms:
In 0.0000 0.1780 0.0000 x2
Ag 0.2477 0.6844 0.0067 x4
Bi 0.0000 0.8274 0.4940 x2
S 0.0000 0.1786 0.3688 x2
S 0.0000 0.8483 0.8891 x2
S 0.2311 0.3455 0.8777 x4

Most intense lines, 10 to 80 degrees two-theta, in order of rising 2θ:
| Position (°2θ) | d/Å | I (rel.) |
| --- | --- | --- |
| 23.92 | 3.720 | 38 |
| 24.61 | 3.618 | 30 |
| 26.05 | 3.421 | 52 |
| 27.29 | 3.268 | 100 |
| 27.90 | 3.198 | 33 |
| 35.65 | 2.518 | 18 |
| 41.64 | 2.169 | 20 |
| 42.90 | 2.108 | 37 |
| 46.72 | 1.944 | 42 |
| 50.88 | 1.795 | 43 |

---

Diffraction record for InAg4Bi3S8. The powder diffraction line list is calculated, not measured: it uses a cell relaxed with PBE and Cu Kα X-rays.
Kinematic intensities with the Lorentz-polarization factor, no thermal factor.

a b c (Å): 13.4456 8.0156 8.0312
angles (deg): 90.00 124.99 90.00
Space group C2/m (No. 12)
One atom of each set of equivalent atoms:
In 0.0000 0.0000 0.0000 x2
Ag 0.0000 0.0000 0.5000 x2
Ag 0.0000 0.5000 0.5000 x2
Ag 0.2500 0.2500 0.0000 x4
Bi 0.0000 0.5000 0.0000 x2
Bi 0.2500 0.2500 0.5000 x4
S 0.0071 0.2322 0.7717 x8
S 0.2381 0.5000 0.7401 x4
S 0.2436 0.0000 0.7443 x4

Most intense lines, 10 to 80 degrees two-theta, in order of rising 2θ:
| Position (°2θ) | d/Å | I (rel.) |
| --- | --- | --- |
| 13.84 | 6.400 | 12 |
| 27.11 | 3.290 | 29 |
| 27.52 | 3.241 | 57 |
| 27.88 | 3.200 | 27 |
| 31.55 | 2.836 | 100 |
| 32.52 | 2.754 | 46 |
| 45.22 | 2.005 | 36 |
| 45.43 | 1.996 | 35 |
| 46.43 | 1.956 | 33 |
| 56.82 | 1.620 | 18 |

---

Diffraction record for In2Ag7Sn2Bi. The powder diffraction line list is calculated, not measured: it uses a cell relaxed with PBE and Cu Kα X-rays.
Kinematic intensities with the Lorentz-polarization factor, no thermal factor.

a b c (Å): 6.2411 6.3425 13.3404
angles (deg): 90.00 90.34 90.00
Space group C2/m (No. 12)
One atom of each set of equivalent atoms:
In 0.9998 0.0000 0.1844 x4
Ag 0.0000 0.0000 0.5000 x2
Ag 0.2434 0.0000 0.9999 x4
Ag 0.2481 0.2499 0.3375 x8
Sn 0.9996 0.5000 0.1815 x4
Bi 0.0000 0.5000 0.5000 x2

Most intense lines, 10 to 80 degrees two-theta, in order of rising 2θ:
| Position (°2θ) | d/Å | I (rel.) |
| --- | --- | --- |
| 28.14 | 3.171 | 22 |
| 34.75 | 2.582 | 77 |
| 35.03 | 2.562 | 79 |
| 35.23 | 2.547 | 78 |
| 39.20 | 2.298 | 31 |
| 40.57 | 2.224 | 100 |
| 41.14 | 2.194 | 33 |
| 69.75 | 1.348 | 20 |
| 69.88 | 1.346 | 20 |
| 70.44 | 1.337 | 20 |